Calculated XRD peak list of BiPPb4O8 for Cu Kα X-rays, from a cell relaxed with GGA-PBE.
Intensities are scaled so that the largest is 100.

Structural model:
```
BiPPb4O8
1.0
6.4583 0.0000 0.0000
0.0043 7.3597 0.0000
3.1610 1.8177 10.5054
Bi P Pb O
2 2 8 16
direct
0.0703 0.2245 0.1023
0.9297 0.7755 0.8977
0.0577 0.7028 0.1900
0.9423 0.2972 0.8100
0.2438 0.1173 0.5308
0.2447 0.6203 0.5248
0.4792 0.0444 0.7998
0.4812 0.5577 0.7966
0.5188 0.4423 0.2034
0.5208 0.9556 0.2002
0.7553 0.3797 0.4752
0.7562 0.8827 0.4692
0.0991 0.5533 0.1017
0.0994 0.8956 0.1012
0.1803 0.3184 0.7221
0.2171 0.6826 0.2733
0.2347 0.8105 0.7604
0.2799 0.1930 0.2261
0.4326 0.3943 0.4185
0.4435 0.8970 0.4134
0.5565 0.1030 0.5866
0.5674 0.6057 0.5815
0.7201 0.8070 0.7739
0.7653 0.1895 0.2396
0.7829 0.3174 0.7267
0.8197 0.6816 0.2779
0.9006 0.1044 0.8988
0.9009 0.4467 0.8983
```

Main lines, in order of falling intensity (2θ from 15° to 90°):
d_spacing	I/Imax	index
3.061	100	-1 2 1
2.728	60	1 2 3
3.503	48	0 0 3
3.081	42	2 0 2
2.759	26	2 0 -1
3.533	24	1 0 -2
1.971	18	0 2 5
1.858	17	3 -2 1

***

Calculated XRD peak list of Li2AcSnCl8 for Cu Kα X-rays, from a cell relaxed with GGA-PBE.
Intensities are scaled so that the largest is 100.

Structural model:
```
Li2AcSnCl8
1.0
6.3294 0.0000 0.0000
-3.1647 5.4814 0.0000
0.0000 0.0000 8.6957
Li Ac Sn Cl
2 1 1 8
direct
0.3333 0.6667 0.2374
0.6667 0.3333 0.7626
0.0000 0.0000 0.5000
0.0000 0.0000 0.0000
0.0250 0.7070 0.7950
0.2930 0.3180 0.7950
0.3180 0.0250 0.2050
0.3333 0.6667 0.4971
0.6667 0.3333 0.5029
0.6820 0.9750 0.7950
0.7070 0.6820 0.2050
0.9750 0.2930 0.2050
```

Main lines, in order of falling intensity (2θ from 15° to 90°):
d_spacing	I/Imax	index
5.481	100	1 0 0
2.559	76	2 -1 2
3.406	53	1 0 2
2.974	32	1 1 1
2.319	27	2 0 2
3.165	27	1 1 0
1.870	26	3 -1 2
1.827	19	3 0 0

***

Calculated XRD peak list of Tb5Er12Tm for Cu Kα X-rays, from a cell relaxed with GGA-PBE.
Intensities are scaled so that the largest is 100.

Structural model:
```
Tb5Er12Tm
1.0
5.8981 0.0000 0.0000
0.0232 10.2028 0.0000
0.0284 4.2652 9.2688
Tb Er Tm
5 12 1
direct
0.0000 0.0000 0.0000
0.0000 0.3342 0.3343
0.0000 0.6658 0.6657
0.5000 0.1659 0.1658
0.5000 0.8341 0.8342
0.0461 0.0066 0.6596
0.0460 0.3403 0.9932
0.0499 0.6742 0.3257
0.4500 0.1757 0.8244
0.4540 0.5068 0.1610
0.4539 0.8392 0.4933
0.5461 0.1608 0.5067
0.5460 0.4932 0.8390
0.5500 0.8243 0.1756
0.9501 0.3258 0.6743
0.9540 0.6597 0.0068
0.9539 0.9934 0.3404
0.5000 0.5000 0.5000
```

Main lines, in order of falling intensity (2θ from 15° to 90°):
d_spacing	I/Imax	index
2.737	100	1 3 0
2.864	30	0 3 3
2.949	26	2 0 0
1.628	21	1 6 3
1.659	10	3 3 0
2.551	10	-2 2 1
2.058	9	2 3 3
2.051	9	-2 3 3

***

Calculated XRD peak list of In2Br2F for Cu Kα X-rays, from a cell relaxed with GGA-PBE.
Intensities are scaled so that the largest is 100.

Structural model:
```
In2Br2F
1.0
8.3664 0.0000 0.0000
0.0000 9.9862 0.0000
-3.4381 0.0000 8.5620
In Br F
8 8 4
direct
0.0196 0.0214 0.2419
0.0196 0.4786 0.7419
0.4285 0.0805 0.6464
0.4285 0.4195 0.1464
0.5715 0.5805 0.8536
0.5715 0.9195 0.3536
0.9804 0.5214 0.2581
0.9804 0.9786 0.7581
0.0790 0.1920 0.5380
0.0790 0.3080 0.0380
0.4380 0.6616 0.2900
0.4380 0.8384 0.7900
0.5620 0.1616 0.2100
0.5620 0.3384 0.7100
0.9210 0.6920 0.9620
0.9210 0.8080 0.4620
0.3294 0.5024 0.9036
0.3294 0.9976 0.4036
0.6706 0.0024 0.5964
0.6706 0.4976 0.0964
```

Main lines, in order of falling intensity (2θ from 15° to 90°):
d_spacing	I/Imax	index
3.882	100	2 0 0
2.935	62	2 2 -2
3.355	54	1 2 -2
4.120	47	1 1 -2
3.935	42	0 1 2
3.623	38	2 0 -2
3.250	34	0 2 2
2.735	34	1 2 2

***

Calculated XRD peak list of In3Sn2Pb3 for Cu Kα X-rays, from a cell relaxed with GGA-PBE.
Intensities are scaled so that the largest is 100.

Structural model:
```
In3Sn2Pb3
1.0
4.7476 0.0000 0.0000
0.0334 4.9101 0.0000
2.3406 2.2535 9.9601
In Sn Pb
3 2 3
direct
0.0000 0.0000 0.0000
0.1253 0.6237 0.7494
0.8747 0.3763 0.2506
0.2494 0.2517 0.5001
0.7506 0.7483 0.4999
0.3734 0.8742 0.2548
0.5000 0.5000 0.0000
0.6266 0.1258 0.7452
```

Main lines, in order of falling intensity (2θ from 15° to 90°):
d_spacing	I/Imax	index
2.797	100	1 1 3
2.845	52	1 1 -1
2.823	51	1 -1 2
2.490	36	0 0 4
2.455	35	0 2 1
2.374	32	2 0 1
1.713	24	2 2 2
1.439	20	3 1 4

***

> Number 4 is which compound?

In2Br2F